(1)
For KCrS2O8, a crystal structure in Alexandria, relaxed with PBE+U gives the calculated powder diffraction line list in this record (copper Kα).
No peak broadening, texture or thermal motion is included.

Main lines, sorted by position (2θ = 5–70°):
- 2θ = 10.7°, d = 8.264 Å, intensity 56, (0 0 2)
- 2θ = 21.1°, d = 4.206 Å, intensity 14, (1 0 0)
- 2θ = 23.7°, d = 3.748 Å, intensity 100, (1 0 2)
- 2θ = 30.3°, d = 2.947 Å, intensity 86, (1 0 4)
- 2θ = 37.0°, d = 2.428 Å, intensity 36, (1 1 0)
- 2θ = 40.6°, d = 2.222 Å, intensity 13, (1 1 3)
- 2θ = 48.6°, d = 1.874 Å, intensity 22, (2 0 4)
- 2θ = 49.1°, d = 1.854 Å, intensity 17, (0 1 8)
- 2θ = 62.6°, d = 1.484 Å, intensity 16, (2 1 4)
- 2θ = 66.7°, d = 1.402 Å, intensity 14, (3 0 0)

Structural model:
abc: 4.8562 4.8562 16.5283
angles: 90.00 90.00 120.00
Space group P-3c1 (No. 165)
Asymmetric unit:
K1 0.0000 0.0000 0.2500 (multiplicity 2)
Cr1 0.0000 0.0000 0.0000 (multiplicity 2)
S1 0.3333 0.6667 0.3964 (multiplicity 4)
O1 0.0653 0.3573 0.4267 (multiplicity 12)
O2 0.3333 0.6667 0.3081 (multiplicity 4)

---

(2)
For Mn5Si2O10, a crystal structure in Alexandria, relaxed with PBE+U gives the calculated powder diffraction line list in this record (copper Kα).
No peak broadening, texture or thermal motion is included.

Main lines, sorted by position (2θ = 5–70°):
- 2θ = 24.6°, d = 3.616 Å, intensity 93, (1 1 1)
- 2θ = 28.8°, d = 3.097 Å, intensity 86, (2 1 -1)
- 2θ = 31.3°, d = 2.859 Å, intensity 61, (1 1 -3)
- 2θ = 32.1°, d = 2.789 Å, intensity 67, (0 1 3)
- 2θ = 32.9°, d = 2.720 Å, intensity 100, (2 1 1)
- 2θ = 34.8°, d = 2.581 Å, intensity 58, (2 1 -3)
- 2θ = 38.4°, d = 2.347 Å, intensity 41, (3 1 -1)
- 2θ = 50.5°, d = 1.808 Å, intensity 53, (2 2 2)
- 2θ = 50.7°, d = 1.801 Å, intensity 55, (1 2 -4)
- 2θ = 51.1°, d = 1.786 Å, intensity 54, (3 2 -2)

Structural model:
abc: 8.0525 4.8691 10.7100
angles: 90.00 107.61 90.00
Space group P2_1/c (No. 14)
Asymmetric unit:
Mn1 0.0000 0.0000 0.0000 (multiplicity 2)
Mn2 0.2095 0.0277 0.3325 (multiplicity 4)
Mn3 0.4246 0.0165 0.1051 (multiplicity 4)
Si1 0.2096 0.5782 0.1418 (multiplicity 4)
O1 0.0415 0.7131 0.1773 (multiplicity 4)
O2 0.1964 0.7059 0.9961 (multiplicity 4)
O3 0.2224 0.2401 0.1439 (multiplicity 4)
O4 0.3821 0.7385 0.2417 (multiplicity 4)
O5 0.4011 0.1994 0.9410 (multiplicity 4)